No. 1
Simulated powder diffractogram
Compound: Rb2In5Hg12
Radiation: Cu Kα (weighted mean of Kα1 and Kα2)
Structure: a crystal structure in Alexandria, relaxed with GGA-PBE
Neutral-atom scattering factors, no anomalous dispersion.

Most intense lines, 2θ from 5° to 70°, sorted by position:
Position (°2θ), d (Å), I/Imax, index
16.42, 5.397, 44, 1 1 0
28.65, 3.116, 22, 3 0 0
28.79, 3.101, 46, 0 2 4
32.41, 2.762, 35, 0 0 6
33.00, 2.714, 100, 0 3 3
33.17, 2.701, 68, 2 2 0
36.54, 2.459, 27, 1 1 6
37.08, 2.425, 94, 2 2 3
38.92, 2.314, 19, 4 0 1
59.30, 1.558, 29, 6 0 0

Structural model:
Cell lengths 10.7950, 10.7950, 16.5725 Å; angles 90.00, 90.00, 120.00 degrees
Space group R-3m (No. 166, hexagonal axes)
Unique sites:
Rb (0.0000, 0.0000, 0.1623) [6 per cell]
In (0.0000, 0.0000, 0.4031) [6 per cell]
In (0.0000, 0.5000, 0.0000) [9 per cell]
Hg (0.0000, 0.2948, 0.5000) [18 per cell]
Hg (0.0120, 0.5060, 0.6423) [18 per cell]


No. 2
Simulated powder diffractogram
Compound: ScCu4Ge2
Radiation: Cu Kα (weighted mean of Kα1 and Kα2)
Structure: a crystal structure in Alexandria, relaxed with GGA-PBE
Neutral-atom scattering factors, no anomalous dispersion.

Most intense lines, 2θ from 5° to 70°, sorted by position:
Position (°2θ), d (Å), I/Imax, index
12.53, 7.062, 29, 0 0 3
25.22, 3.531, 11, 0 0 6
39.06, 2.306, 91, 1 0 7
42.54, 2.125, 10, 0 1 8
44.04, 2.056, 100, 1 1 0
45.97, 1.974, 7, 1 1 3
50.10, 1.821, 23, 1 0 10
51.43, 1.777, 10, 1 1 6
60.31, 1.535, 23, 0 2 7
68.88, 1.363, 8, 0 2 10

Structural model:
Cell lengths 4.1120, 4.1120, 21.1866 Å; angles 90.00, 90.00, 120.00 degrees
Space group R-3m (No. 166, hexagonal axes)
Unique sites:
Sc (0.0000, 0.0000, 0.0000) [3 per cell]
Cu (0.0000, 0.0000, 0.1403) [6 per cell]
Cu (0.0000, 0.0000, 0.4343) [6 per cell]
Ge (0.0000, 0.0000, 0.2593) [6 per cell]